(1)
Diffraction record for LiCoPO4. The powder diffraction line list is computed, not measured: it uses a GGA+U-relaxed structure and Cu Kα (λ = 1.5418 Å).

The 10 most intense peaks (2θ = 10–90°), in order of rising 2θ:
2theta	d (Å)	I/Imax
12.12	7.302	52
19.88	4.466	48
20.99	4.232	89
24.38	3.651	100
30.25	2.954	99
35.47	2.531	62
37.43	2.403	24
38.44	2.342	28
45.19	2.007	25
45.51	1.993	30

Crystal structure
Unit cell a=5.218 b=5.218 c=7.574 alpha=103.63 beta=103.63 gamma=54.84
Fractional coordinates of all 14 atoms:
Li1 0.000 0.000 0.000
Li2 0.939 0.061 0.500
Co1 0.276 0.395 0.695
Co2 0.605 0.724 0.305
P1 0.221 0.444 0.265
P2 0.556 0.779 0.735
O1 0.079 0.608 0.454
O2 0.247 0.672 0.183
O3 0.328 0.753 0.817
O4 0.392 0.921 0.546
O5 0.554 0.142 0.300
O6 0.618 0.031 0.851
O7 0.858 0.446 0.700
O8 0.969 0.382 0.149

(2)
Diffraction record for Li3CrB2O6. The powder diffraction line list is computed, not measured: it uses a GGA+U-relaxed structure and Cu Kα (λ = 1.5418 Å).

The 10 most intense peaks (2θ = 10–90°), in order of rising 2θ:
2theta	d (Å)	I/Imax
18.57	4.779	78
20.80	4.271	35
22.75	3.908	17
23.18	3.837	100
31.77	2.817	17
36.91	2.435	45
37.60	2.392	12
38.36	2.346	23
41.34	2.184	22
50.28	1.815	12

Crystal structure
Unit cell a=9.100 b=6.040 c=9.436 alpha=90.00 beta=115.15 gamma=90.00
Fractional coordinates of all 48 atoms:
Li1 0.120 0.249 0.486
Li2 0.120 0.251 0.986
Li3 0.213 0.566 0.185
Li4 0.213 0.934 0.685
Li5 0.366 0.712 0.573
Li6 0.366 0.788 0.073
Li7 0.634 0.212 0.927
Li8 0.634 0.288 0.427
Li9 0.787 0.066 0.315
Li10 0.787 0.434 0.815
Li11 0.880 0.749 0.014
Li12 0.880 0.751 0.514
Cr1 0.267 0.034 0.281
Cr2 0.267 0.466 0.781
Cr3 0.733 0.534 0.219
Cr4 0.733 0.966 0.719
B1 0.047 0.660 0.814
B2 0.047 0.840 0.314
B3 0.450 0.215 0.080
B4 0.450 0.285 0.580
B5 0.550 0.715 0.420
B6 0.550 0.785 0.920
B7 0.953 0.160 0.686
B8 0.953 0.340 0.186
O1 0.077 0.682 0.683
O2 0.077 0.818 0.183
O3 0.101 0.209 0.687
O4 0.101 0.291 0.187
O5 0.178 0.567 0.943
O6 0.178 0.933 0.443
O7 0.324 0.107 0.099
O8 0.324 0.393 0.599
O9 0.402 0.744 0.795
O10 0.402 0.756 0.295
O11 0.433 0.231 0.432
O12 0.433 0.269 0.932
O13 0.567 0.731 0.068
O14 0.567 0.769 0.568
O15 0.598 0.244 0.705
O16 0.598 0.256 0.205
O17 0.676 0.607 0.401
O18 0.676 0.893 0.901
O19 0.822 0.067 0.557
O20 0.822 0.433 0.057
O21 0.899 0.709 0.813
O22 0.899 0.791 0.313
O23 0.923 0.182 0.817
O24 0.923 0.318 0.317

(3)
Diffraction record for RbFeMo2O8. The powder diffraction line list is computed, not measured: it uses a GGA+U-relaxed structure and Cu Kα (λ = 1.5418 Å).

The 10 most intense peaks (2θ = 10–90°), in order of rising 2θ:
2theta	d (Å)	I/Imax
21.17	4.198	100
28.89	3.090	59
31.28	2.859	53
38.08	2.363	9
43.10	2.099	21
50.08	1.822	19
54.21	1.692	20
55.68	1.651	11
56.59	1.626	16
65.26	1.430	9

Crystal structure
Unit cell a=5.719 b=5.719 c=7.910 alpha=90.00 beta=90.00 gamma=120.00
Fractional coordinates of all 12 atoms:
Rb1 0.000 0.000 0.000
Fe1 0.000 0.000 0.500
Mo1 0.333 0.667 0.280
Mo2 0.667 0.333 0.720
O1 0.113 0.323 0.349
O2 0.210 0.887 0.349
O3 0.323 0.210 0.651
O4 0.333 0.667 0.059
O5 0.667 0.333 0.941
O6 0.677 0.790 0.349
O7 0.790 0.113 0.651
O8 0.887 0.677 0.651

(4)
Diffraction record for MnFe2P2O18. The powder diffraction line list is computed, not measured: it uses a GGA+U-relaxed structure and Cu Kα (λ = 1.5418 Å).

The 10 most intense peaks (2θ = 10–90°), in order of rising 2θ:
2theta	d (Å)	I/Imax
15.37	5.766	100
15.52	5.710	21
18.77	4.726	97
22.10	4.023	28
23.53	3.781	25
26.57	3.355	49
28.78	3.102	68
30.24	2.955	29
30.63	2.919	29
36.94	2.434	28

Crystal structure
Unit cell a=9.654 b=7.157 c=9.923 alpha=90.00 beta=101.19 gamma=90.00
Fractional coordinates of all 46 atoms:
Mn1 0.000 0.000 0.000
Mn2 0.000 0.500 0.500
Fe1 0.486 0.127 0.756
Fe2 0.486 0.373 0.256
Fe3 0.514 0.627 0.744
Fe4 0.514 0.873 0.244
P1 0.309 0.139 0.996
P2 0.309 0.361 0.496
P3 0.691 0.639 0.504
P4 0.691 0.861 0.004
O1 0.039 0.037 0.258
O2 0.039 0.463 0.758
O3 0.054 0.507 0.176
O4 0.054 0.993 0.676
O5 0.119 0.690 0.520
O6 0.119 0.810 0.020
O7 0.150 0.173 0.996
O8 0.150 0.327 0.496
O9 0.324 0.120 0.844
O10 0.324 0.380 0.344
O11 0.336 0.659 0.795
O12 0.336 0.841 0.295
O13 0.360 0.549 0.570
O14 0.360 0.951 0.070
O15 0.390 0.192 0.566
O16 0.390 0.308 0.066
O17 0.463 0.631 0.197
O18 0.463 0.869 0.697
O19 0.537 0.131 0.303
O20 0.537 0.369 0.803
O21 0.610 0.692 0.934
O22 0.610 0.808 0.434
O23 0.640 0.049 0.930
O24 0.640 0.451 0.430
O25 0.664 0.159 0.705
O26 0.664 0.341 0.205
O27 0.676 0.620 0.656
O28 0.676 0.880 0.156
O29 0.850 0.673 0.504
O30 0.850 0.827 0.004
O31 0.881 0.190 0.980
O32 0.881 0.310 0.480
O33 0.946 0.007 0.324
O34 0.946 0.493 0.824
O35 0.961 0.537 0.242
O36 0.961 0.963 0.742

(5)
Diffraction record for Ba2LiNi2O4. The powder diffraction line list is computed, not measured: it uses a GGA+U-relaxed structure and Cu Kα (λ = 1.5418 Å).

The 10 most intense peaks (2θ = 10–90°), in order of rising 2θ:
2theta	d (Å)	I/Imax
25.06	3.554	100
26.25	3.396	39
29.95	2.984	42
32.91	2.722	80
40.00	2.254	58
40.23	2.241	67
54.01	1.698	23
55.07	1.668	18
60.06	1.540	19
62.99	1.476	19

Crystal structure
Unit cell a=5.049 b=5.473 c=5.473 alpha=66.08 beta=90.00 gamma=90.00
Fractional coordinates of all 9 atoms:
Ba1 0.000 0.000 0.000
Ba2 0.500 0.284 0.284
Li1 0.000 0.372 0.372
Ni1 0.241 0.645 0.645
Ni2 0.759 0.645 0.645
O1 0.000 0.514 0.996
O2 0.000 0.996 0.514
O3 0.500 0.335 0.784
O4 0.500 0.784 0.335

(6)
Diffraction record for Mg3NiO4. The powder diffraction line list is computed, not measured: it uses a GGA+U-relaxed structure and Cu Kα (λ = 1.5418 Å).

The 10 most intense peaks (2θ = 10–90°), in order of rising 2θ:
2theta	d (Å)	I/Imax
20.92	4.246	24
29.76	3.002	20
36.66	2.451	29
42.59	2.123	100
47.91	1.899	10
52.82	1.733	7
61.80	1.501	57
66.01	1.415	4
74.06	1.280	14
77.95	1.226	17

Crystal structure
Unit cell a=4.246 b=4.246 c=4.246 alpha=90.00 beta=90.00 gamma=90.00
Fractional coordinates of all 8 atoms:
Mg1 0.000 0.000 0.500
Mg2 0.000 0.500 0.000
Mg3 0.500 0.000 0.000
Ni1 0.500 0.500 0.500
O1 0.000 0.000 0.000
O2 0.000 0.500 0.500
O3 0.500 0.000 0.500
O4 0.500 0.500 0.000

(7)
Diffraction record for MnSi4O10. The powder diffraction line list is computed, not measured: it uses a GGA+U-relaxed structure and Cu Kα (λ = 1.5418 Å).

The 10 most intense peaks (2θ = 10–90°), in order of rising 2θ:
2theta	d (Å)	I/Imax
16.83	5.269	43
22.78	3.903	100
23.88	3.726	40
25.77	3.457	62
26.51	3.362	36
27.37	3.259	35
29.14	3.065	73
44.19	2.050	14
48.21	1.888	14
49.93	1.826	16

Crystal structure
Unit cell a=7.451 b=7.451 c=15.612 alpha=90.00 beta=90.00 gamma=90.00
Fractional coordinates of all 60 atoms:
Mn1 0.250 0.250 0.084
Mn2 0.250 0.250 0.584
Mn3 0.750 0.750 0.416
Mn4 0.750 0.750 0.916
Si1 0.007 0.077 0.351
Si2 0.007 0.423 0.851
Si3 0.077 0.007 0.851
Si4 0.077 0.493 0.351
Si5 0.423 0.007 0.351
Si6 0.423 0.493 0.851
Si7 0.493 0.077 0.851
Si8 0.493 0.423 0.351
Si9 0.507 0.577 0.649
Si10 0.507 0.923 0.149
Si11 0.577 0.507 0.149
Si12 0.577 0.993 0.649
Si13 0.923 0.507 0.649
Si14 0.923 0.993 0.149
Si15 0.993 0.577 0.149
Si16 0.993 0.923 0.649
O1 0.004 0.209 0.870
O2 0.004 0.291 0.370
O3 0.023 0.142 0.090
O4 0.023 0.358 0.590
O5 0.042 0.542 0.250
O6 0.042 0.958 0.750
O7 0.142 0.023 0.590
O8 0.142 0.477 0.090
O9 0.209 0.004 0.370
O10 0.209 0.496 0.870
O11 0.291 0.004 0.870
O12 0.291 0.496 0.370
O13 0.358 0.023 0.090
O14 0.358 0.477 0.590
O15 0.458 0.542 0.750
O16 0.458 0.958 0.250
O17 0.477 0.142 0.590
O18 0.477 0.358 0.090
O19 0.496 0.209 0.370
O20 0.496 0.291 0.870
O21 0.504 0.709 0.130
O22 0.504 0.791 0.630
O23 0.523 0.642 0.910
O24 0.523 0.858 0.410
O25 0.542 0.042 0.750
O26 0.542 0.458 0.250
O27 0.642 0.523 0.410
O28 0.642 0.977 0.910
O29 0.709 0.504 0.630
O30 0.709 0.996 0.130
O31 0.791 0.504 0.130
O32 0.791 0.996 0.630
O33 0.858 0.523 0.910
O34 0.858 0.977 0.410
O35 0.958 0.042 0.250
O36 0.958 0.458 0.750
O37 0.977 0.642 0.410
O38 0.977 0.858 0.910
O39 0.996 0.709 0.630
O40 0.996 0.791 0.130